# Hf2TaMn9
Theoretical XRD peak list, λ = 1.5418 Å (Cu Kα). Input: the GGA-PBE geometry in Alexandria.
Peak positions follow from Bragg's law for the DFT cell and can differ from measured ones.

Cell and atoms:
Lattice parameters (Å, degrees): 4.7912 4.7912 23.9343 90.00 90.00 120.00
Space group R-3m (No. 166, hexagonal axes)
Inequivalent atoms, fractional coordinates:
Hf 0.0000 0.0000 0.1410 [6 per cell]
Ta 0.0000 0.0000 0.0000 [3 per cell]
Mn 0.0000 0.0000 0.3376 [6 per cell]
Mn 0.0000 0.0000 0.5000 [3 per cell]
Mn 0.0111 0.5056 0.9179 [18 per cell]

Main lines, by angle (2θ = 5–70°):
- 2θ = 21.74°, rel. 26
- 2θ = 33.97°, rel. 59
- 2θ = 37.04°, rel. 52
- 2θ = 37.54°, rel. 64
- 2θ = 43.80°, rel. 40
- 2θ = 44.10°, rel. 100